Diffraction record for Fe2NiP2O8. The X-ray diffraction stick pattern is theoretical, not measured: it uses a PBE+U-relaxed structure and copper Kα.

Structure:
```
data_Fe2NiP2O8
_chemical_formula_sum 'Fe4 Ni2 P4 O16'
_cell_length_a 6.030
_cell_length_b 4.845
_cell_length_c 10.422
_cell_angle_alpha 90.00
_cell_angle_beta 90.69
_cell_angle_gamma 90.00
_symmetry_space_group_name_H-M 'P 1 21 1'
_symmetry_Int_Tables_number 4
_symmetry_space_group_name_Hall 'P 2yb'
loop_
_atom_site_label
_atom_site_type_symbol
_atom_site_fract_x
_atom_site_fract_y
_atom_site_fract_z
_atom_site_occupancy
Fe1 Fe 0.003 0.000 0.246 1
Fe2 Fe 0.263 0.514 0.469 1
Ni1 Ni 0.260 0.992 0.973 1
P1 P 0.239 0.068 0.655 1
P2 P 0.248 0.430 0.146 1
O1 O 0.029 0.216 0.591 1
O2 O 0.039 0.280 0.081 1
O3 O 0.221 0.750 0.649 1
O4 O 0.231 0.748 0.141 1
O5 O 0.243 0.179 0.794 1
O6 O 0.248 0.320 0.286 1
O7 O 0.432 0.180 0.573 1
O8 O 0.444 0.313 0.068 1
```

Main lines, sorted by position (2θ = 10–90°):
2θ 14.69, I 32, hkl 1 0 0; 2θ 22.69, I 49, hkl 1 0 2; 2θ 25.14, I 100, hkl 1 1 1; 2θ 29.63, I 29, hkl 2 0 0; 2θ 31.70, I 57, hkl 0 1 3; 2θ 34.96, I 76, hkl 1 1 -3; 2θ 36.05, I 38, hkl 2 1 -1; 2θ 51.57, I 40, hkl 2 2 2